Starting from a structure optimized by DFT (GGA+U), the X-ray diffraction stick pattern of FeO was simulated for Cu Kα (weighted mean of Kα1 and Kα2).

Atomic structure:
abc: 3.1291 3.1291 3.1291
angles: 121.16 121.16 88.00
Atoms (fractional coordinates):
Fe: 0.0000 0.0000 0.0000
O: 0.5000 0.5000 0.0000

Largest 8 diffraction maxima, sorted by position, 2θ = 15–90°:
2theta  I/Imax
35.4  100
40.1  54
41.5  97
59.1  60
60.2  28
69.7  14
71.8  25
74.8  27